[1]
Starting from a DFT-relaxed cell (PBE, Alexandria), the powder XRD pattern of Ac5Ru2Br2 was calculated for Cu Kα X-rays.
Intensities are scaled so that the largest is 100.

The 10 most intense peaks (5 to 70 degrees two-theta), in order of falling intensity:
d/Å  2θ (°)  I (rel.)  index
2.838  31.52  100  3 1 -2
8.467  10.45  99  1 0 0
2.679  33.45  81  1 1 -3
2.516  35.69  77  2 2 1
2.617  34.26  72  0 3 1
2.949  30.31  56  2 1 1
3.128  28.54  55  2 2 -1
3.668  24.27  45  0 2 1
3.826  23.25  42  1 1 -2
1.721  53.23  39  1 3 3

Structural model:
Cell lengths 9.4923, 8.3520, 8.6069 Å; angles 90.00, 116.87, 90.00 degrees
Space group P2_1/c (No. 14)
Symmetry-distinct sites (fractional):
Ac1 0.0000 0.0000 0.0000 (multiplicity 2)
Ac2 0.2231 0.1522 0.4516 (multiplicity 4)
Ac3 0.2228 0.6520 0.2702 (multiplicity 4)
Ru1 0.0001 0.1462 0.6383 (multiplicity 4)
Br1 0.4163 0.9997 0.2077 (multiplicity 4)

---

[2]
Starting from a DFT-relaxed cell (PBE, Alexandria), the powder XRD pattern of Ac3RuBr3 was calculated for Cu Kα X-rays.
Intensities are scaled so that the largest is 100.

The 10 most intense peaks (5 to 70 degrees two-theta), in order of falling intensity:
d/Å  2θ (°)  I (rel.)  index
3.262  27.34  100  2 1 0
12.794  6.91  55  0 0 1
2.231  40.42  51  0 2 0
3.198  27.89  46  0 0 4
9.544  9.27  43  1 0 0
2.342  38.44  31  2 1 -4
7.400  11.96  21  1 0 1
1.831  49.79  18  0 2 4
7.927  11.16  16  1 0 -1
2.386  37.70  14  4 0 0

Structural model:
Cell lengths 9.5686, 4.4680, 12.8267 Å; angles 90.00, 94.12, 90.00 degrees
Space group P2_1/m (No. 11)
Symmetry-distinct sites (fractional):
Ac1 0.0952 0.2500 0.3930 (multiplicity 2)
Ac2 0.1251 0.2500 0.8427 (multiplicity 2)
Ac3 0.3262 0.7500 0.6236 (multiplicity 2)
Ru1 0.1170 0.2500 0.6271 (multiplicity 2)
Br1 0.1045 0.2500 0.1142 (multiplicity 2)
Br2 0.3573 0.7500 0.8767 (multiplicity 2)
Br3 0.3944 0.7500 0.3772 (multiplicity 2)

---

[3]
Starting from a DFT-relaxed cell (PBE, Alexandria), the powder XRD pattern of AcRuBr was calculated for Cu Kα X-rays.
Intensities are scaled so that the largest is 100.

The 10 most intense peaks (5 to 70 degrees two-theta), in order of falling intensity:
d/Å  2θ (°)  I (rel.)  index
11.935  7.41  100  0 0 1
3.031  29.47  45  1 1 2
2.186  41.29  26  3 1 -1
2.883  31.02  25  1 1 -3
3.052  29.26  22  2 0 -3
3.744  23.76  19  1 1 0
2.465  36.45  17  1 1 -4
2.168  41.66  13  0 2 0
2.893  30.91  12  2 0 2
2.593  34.59  11  1 1 3

Structural model:
Cell lengths 7.5957, 4.3356, 12.2057 Å; angles 90.00, 102.10, 90.00 degrees
Space group C2/m (No. 12)
Symmetry-distinct sites (fractional):
Ac1 0.0599 0.0000 0.1796 (multiplicity 4)
Ru1 0.1597 0.5000 0.9940 (multiplicity 4)
Br1 0.2133 0.0000 0.6519 (multiplicity 4)